Record 1
# MgSb2
Theoretical PXRD pattern, a wavelength of 1.5418 Å. Input: a PBE-relaxed structure.
Neutral-atom scattering factors, no anomalous dispersion.

Most intense lines, 10 to 80 degrees two-theta, in order of rising 2θ:
Position (°2θ)	intensity
18.9	17.2
23.9	39.0
30.4	28.2
31.9	39.3
34.4	23.5
36.2	100.0
44.7	19.3
55.3	11.0
59.7	22.7
65.3	13.2

Cell and atoms:
```
data_MgSb2
_cell_length_a 9.3952
_cell_length_b 5.8821
_cell_length_c 5.6070
_cell_angle_alpha 90.00
_cell_angle_beta 90.00
_cell_angle_gamma 90.00
_symmetry_space_group_name_H-M 'C m c m'
_symmetry_Int_Tables_number 63
_symmetry_space_group_name_Hall '-C 2c 2'
loop_
_atom_site_label
_atom_site_type_symbol
_atom_site_fract_x
_atom_site_fract_y
_atom_site_fract_z
Mg1 Mg 0.0000 0.1841 0.2500
Sb1 Sb 0.1658 0.3004 0.7500
```

---

Record 2
# CuPt7
Theoretical PXRD pattern, a wavelength of 1.5418 Å. Input: a PBE-relaxed structure.
Neutral-atom scattering factors, no anomalous dispersion.

Most intense lines, 10 to 80 degrees two-theta, in order of rising 2θ:
Position (°2θ)	intensity
19.5	4.4
22.6	2.3
32.1	2.0
37.9	2.6
39.6	100.0
46.1	49.1
50.5	1.2
51.9	1.1
67.2	32.1
70.7	0.9

Cell and atoms:
```
data_CuPt7
_cell_length_a 7.8789
_cell_length_b 7.8789
_cell_length_c 7.8789
_cell_angle_alpha 90.00
_cell_angle_beta 90.00
_cell_angle_gamma 90.00
_symmetry_space_group_name_H-M 'F m -3 m'
_symmetry_Int_Tables_number 225
_symmetry_space_group_name_Hall '-F 4 2 3'
loop_
_atom_site_label
_atom_site_type_symbol
_atom_site_fract_x
_atom_site_fract_y
_atom_site_fract_z
Cu1 Cu 0.0000 0.0000 0.0000
Pt1 Pt 0.0000 0.0000 0.5000
Pt2 Pt 0.0000 0.2500 0.2500
```

---

Record 3
# GdBO3
Theoretical PXRD pattern, a wavelength of 1.5418 Å. Input: a PBE-relaxed structure.
Neutral-atom scattering factors, no anomalous dispersion.

Most intense lines, 10 to 80 degrees two-theta, in order of rising 2θ:
Position (°2θ)	intensity
19.4	100.0
33.8	52.2
34.0	23.0
39.4	11.5
44.1	26.8
48.6	24.9
53.0	16.8
60.3	9.6
60.6	16.4
67.9	7.4

Cell and atoms:
```
data_GdBO3
_cell_length_a 5.2810
_cell_length_b 5.2810
_cell_length_c 6.5184
_cell_angle_alpha 90.00
_cell_angle_beta 90.00
_cell_angle_gamma 120.00
_symmetry_space_group_name_H-M 'P 63/m m c'
_symmetry_Int_Tables_number 194
_symmetry_space_group_name_Hall '-P 6c 2c'
loop_
_atom_site_label
_atom_site_type_symbol
_atom_site_fract_x
_atom_site_fract_y
_atom_site_fract_z
Gd1 Gd 0.0000 0.0000 0.0000
B1 B 0.3333 0.6667 0.2500
O1 O 0.1817 0.3633 0.2500
```